[1]
Simulated powder diffraction line list
Compound: Li2FeF4
Radiation: Cu Kα (λ = 1.5418 Å)
Structure: a DFT-relaxed cell (PBE+U, the Materials Project)
Kinematic intensities with the Lorentz-polarization factor, no thermal factor.

Most intense lines, 2θ = 10–80°, most intense first:
- 19.67 deg, 4.513 Å, rel. 100
- 42.02 deg, 2.150 Å, rel. 82
- 18.74 deg, 4.734 Å, rel. 47
- 43.36 deg, 2.087 Å, rel. 40
- 50.45 deg, 1.809 Å, rel. 20
- 45.55 deg, 1.991 Å, rel. 19
- 50.64 deg, 1.803 Å, rel. 18
- 33.32 deg, 2.689 Å, rel. 17

Cell and atoms:
Cell lengths 9.4687, 2.8891, 10.2680 Å; angles 90.00, 90.00, 90.00 degrees
Sites, in units of the cell vectors:
Li1 0.0621 0.2500 0.1217
Li2 0.0805 0.2500 0.6027
Li3 0.4195 0.7500 0.1027
Li4 0.4379 0.7500 0.6217
Li5 0.5621 0.2500 0.3783
Li6 0.5805 0.2500 0.8973
Li7 0.9195 0.7500 0.3973
Li8 0.9379 0.7500 0.8783
Fe1 0.2396 0.7500 0.8429
Fe2 0.2604 0.2500 0.3429
Fe3 0.7396 0.7500 0.6571
Fe4 0.7604 0.2500 0.1571
F1 0.0613 0.7500 0.7235
F2 0.1013 0.2500 0.9367
F3 0.1258 0.7500 0.4537
F4 0.1949 0.7500 0.1932
F5 0.3051 0.2500 0.6932
F6 0.3742 0.2500 0.9537
F7 0.3987 0.7500 0.4367
F8 0.4387 0.2500 0.2235
F9 0.5613 0.7500 0.7765
F10 0.6013 0.2500 0.5633
F11 0.6258 0.7500 0.0463
F12 0.6949 0.7500 0.3068
F13 0.8051 0.2500 0.8068
F14 0.8742 0.2500 0.5463
F15 0.8987 0.7500 0.0633
F16 0.9387 0.2500 0.2765

[2]
Simulated powder diffraction line list
Compound: Na2DyMoPO8
Radiation: Cu Kα (λ = 1.5418 Å)
Structure: a DFT-relaxed cell (PBE+U, the Materials Project)
Kinematic intensities with the Lorentz-polarization factor, no thermal factor.

Most intense lines, 2θ = 10–80°, most intense first:
- 27.45 deg, 3.250 Å, rel. 100
- 32.38 deg, 2.764 Å, rel. 70
- 14.50 deg, 6.110 Å, rel. 54
- 35.35 deg, 2.539 Å, rel. 43
- 19.95 deg, 4.452 Å, rel. 40
- 29.43 deg, 3.035 Å, rel. 40
- 17.61 deg, 5.037 Å, rel. 35
- 27.19 deg, 3.279 Å, rel. 34

Cell and atoms:
Cell lengths 11.5028, 11.5028, 11.5028 Å; angles 144.79, 115.84, 75.35 degrees
Sites, in units of the cell vectors:
Na1 0.0972 0.6631 0.4538
Na2 0.2093 0.1631 0.0660
Na3 0.2907 0.3566 0.9538
Na4 0.4028 0.8566 0.5660
Na5 0.5972 0.1434 0.4340
Na6 0.7093 0.6434 0.0462
Na7 0.7907 0.8369 0.9340
Na8 0.9028 0.3369 0.5462
Dy1 0.1779 0.7500 0.9279
Dy2 0.3221 0.2500 0.5721
Dy3 0.6779 0.7500 0.4279
Dy4 0.8221 0.2500 0.0721
Mo1 0.0720 0.8220 0.2500
Mo2 0.4280 0.6780 0.7500
Mo3 0.5720 0.3220 0.2500
Mo4 0.9280 0.1780 0.7500
P1 0.0692 0.2500 0.3192
P2 0.4308 0.7500 0.1808
P3 0.5692 0.2500 0.8192
P4 0.9308 0.7500 0.6808
O1 0.0615 0.3308 0.2562
O2 0.0746 0.8308 0.7693
O3 0.1016 0.1904 0.8283
O4 0.1042 0.6694 0.0158
O5 0.1379 0.7268 0.3283
O6 0.1404 0.4164 0.5728
O7 0.1536 0.0884 0.4842
O8 0.1564 0.0836 0.2240
O9 0.3436 0.5676 0.9272
O10 0.3464 0.8306 0.9348
O11 0.3596 0.9324 0.2760
O12 0.3621 0.6904 0.5889
O13 0.3958 0.4116 0.5652
O14 0.3984 0.2268 0.0889
O15 0.4254 0.1947 0.7562
O16 0.4385 0.6947 0.2693
O17 0.5615 0.3053 0.7307
O18 0.5746 0.8053 0.2438
O19 0.6016 0.7732 0.9111
O20 0.6042 0.5884 0.4348
O21 0.6379 0.3096 0.4111
O22 0.6404 0.0676 0.7240
O23 0.6536 0.1694 0.0652
O24 0.6564 0.4324 0.0728
O25 0.8436 0.9164 0.7760
O26 0.8464 0.9116 0.5158
O27 0.8596 0.5836 0.4272
O28 0.8621 0.2732 0.6717
O29 0.8958 0.3306 0.9842
O30 0.8984 0.8096 0.1717
O31 0.9254 0.1692 0.2307
O32 0.9385 0.6692 0.7438

[3]
Simulated powder diffraction line list
Compound: Mo13O33
Radiation: Cu Kα (λ = 1.5418 Å)
Structure: a DFT-relaxed cell (PBE+U, the Materials Project)
Kinematic intensities with the Lorentz-polarization factor, no thermal factor.

Most intense lines, 2θ = 10–80°, most intense first:
- 24.61 deg, 3.618 Å, rel. 100
- 23.32 deg, 3.815 Å, rel. 85
- 25.19 deg, 3.536 Å, rel. 80
- 54.37 deg, 1.688 Å, rel. 30
- 46.50 deg, 1.953 Å, rel. 29
- 35.49 deg, 2.529 Å, rel. 28
- 30.74 deg, 2.909 Å, rel. 27
- 32.26 deg, 2.775 Å, rel. 27

Cell and atoms:
Cell lengths 3.9064, 11.3717, 15.0321 Å; angles 93.65, 97.42, 99.88 degrees
Sites, in units of the cell vectors:
Mo1 0.0000 0.0000 0.0000
Mo2 0.0057 0.7853 0.7126
Mo3 0.0721 0.8958 0.2392
Mo4 0.1310 0.4247 0.8456
Mo5 0.1560 0.8118 0.4822
Mo6 0.2265 0.3409 0.0930
Mo7 0.2712 0.2278 0.3296
Mo8 0.3571 0.7599 0.9440
Mo9 0.3765 0.1453 0.5782
Mo10 0.4327 0.6701 0.1855
Mo11 0.5087 0.5716 0.4256
Mo12 0.5670 0.4756 0.6698
Mo13 0.9371 0.0944 0.7548
O1 0.0261 0.2612 0.7942
O2 0.0375 0.9465 0.1217
O3 0.0401 0.6208 0.4409
O4 0.0950 0.4772 0.7077
O5 0.1016 0.1551 0.0363
O6 0.1119 0.8545 0.3594
O7 0.1828 0.0698 0.2885
O8 0.1924 0.7523 0.6131
O9 0.1925 0.3930 0.9607
O10 0.2458 0.6101 0.8915
O11 0.2569 0.2867 0.2185
O12 0.2600 0.9637 0.5320
O13 0.3188 0.1850 0.4617
O14 0.3234 0.8195 0.8123
O15 0.3278 0.5051 0.1387
O16 0.3990 0.7194 0.0654
O17 0.4084 0.4167 0.3899
O18 0.4085 0.0953 0.7181
O19 0.4692 0.9510 0.9839
O20 0.4732 0.3124 0.6283
O21 0.4726 0.6271 0.3051
O22 0.5479 0.8563 0.2306
O23 0.5631 0.5339 0.5609
O24 0.6276 0.7610 0.4768
O25 0.6296 0.4431 0.8122
O26 0.6909 0.6571 0.7281
O27 0.7163 0.3299 0.0865
O28 0.7958 0.2398 0.3420
O29 0.8081 0.9150 0.6965
O30 0.8745 0.1284 0.6110
O31 0.8838 0.8113 0.9493
O32 0.9430 0.0392 0.8648
O33 0.9588 0.7134 0.1939

[4]
Simulated powder diffraction line list
Compound: Ni2ClO3
Radiation: Cu Kα (λ = 1.5418 Å)
Structure: a DFT-relaxed cell (PBE+U, the Materials Project)
Kinematic intensities with the Lorentz-polarization factor, no thermal factor.

Most intense lines, 2θ = 10–80°, most intense first:
- 17.66 deg, 5.022 Å, rel. 100
- 34.22 deg, 2.620 Å, rel. 63
- 18.77 deg, 4.727 Å, rel. 58
- 42.57 deg, 2.124 Å, rel. 56
- 43.59 deg, 2.077 Å, rel. 33
- 62.56 deg, 1.485 Å, rel. 27
- 35.41 deg, 2.535 Å, rel. 24
- 36.00 deg, 2.494 Å, rel. 17

Cell and atoms:
Cell lengths 5.7484, 6.3040, 8.3061 Å; angles 90.00, 90.00, 90.00 degrees
Sites, in units of the cell vectors:
Ni1 0.0000 0.0000 0.0000
Ni2 0.0000 0.5000 0.0000
Ni3 0.2019 0.2500 0.2540
Ni4 0.2981 0.7500 0.7540
Ni5 0.5000 0.0000 0.5000
Ni6 0.5000 0.5000 0.5000
Ni7 0.7019 0.2500 0.2460
Ni8 0.7981 0.7500 0.7460
Cl1 0.1756 0.2500 0.5295
Cl2 0.3244 0.7500 0.0295
Cl3 0.6756 0.2500 0.9705
Cl4 0.8244 0.7500 0.4705
O1 0.0443 0.5532 0.7741
O2 0.0443 0.9468 0.7741
O3 0.1900 0.2500 0.0244
O4 0.3100 0.7500 0.5244
O5 0.4557 0.0532 0.2741
O6 0.4557 0.4468 0.2741
O7 0.5443 0.5532 0.7259
O8 0.5443 0.9468 0.7259
O9 0.6900 0.2500 0.4756
O10 0.8100 0.7500 0.9756
O11 0.9557 0.0532 0.2259
O12 0.9557 0.4468 0.2259

[5]
Simulated powder diffraction line list
Compound: Li9Mn2Co5O16
Radiation: Cu Kα (λ = 1.5418 Å)
Structure: a DFT-relaxed cell (PBE+U, the Materials Project)
Kinematic intensities with the Lorentz-polarization factor, no thermal factor.

Most intense lines, 2θ = 10–80°, most intense first:
- 18.32 deg, 4.842 Å, rel. 100
- 42.95 deg, 2.106 Å, rel. 28
- 43.96 deg, 2.060 Å, rel. 27
- 44.21 deg, 2.049 Å, rel. 26
- 62.98 deg, 1.476 Å, rel. 14
- 35.59 deg, 2.522 Å, rel. 14
- 63.31 deg, 1.469 Å, rel. 14
- 36.32 deg, 2.473 Å, rel. 13

Cell and atoms:
Cell lengths 4.9954, 5.8732, 10.2240 Å; angles 89.66, 81.81, 73.44 degrees
Sites, in units of the cell vectors:
Li1 0.0000 0.0000 0.0000
Li2 0.9999 0.2440 0.7492
Li3 0.4852 0.6256 0.3880
Li4 0.4875 0.8723 0.6343
Li5 0.4896 0.8754 0.1355
Li6 0.4961 0.1175 0.8713
Li7 0.5010 0.3693 0.6305
Li8 0.9792 0.5006 0.5094
Li9 0.9897 0.7482 0.2663
Mn1 0.0006 0.4942 0.0020
Mn2 0.9934 0.7516 0.7521
Co1 0.4905 0.1147 0.3915
Co2 0.4970 0.3722 0.1293
Co3 0.5028 0.6215 0.8770
Co4 0.9916 0.2451 0.2641
Co5 0.9936 0.9983 0.5134
O1 0.2103 0.6902 0.5830
O2 0.2300 0.1761 0.5630
O3 0.2307 0.9408 0.3227
O4 0.2370 0.4154 0.3161
O5 0.2405 0.4572 0.8278
O6 0.2445 0.2102 0.0679
O7 0.2454 0.9058 0.8213
O8 0.2653 0.6556 0.0546
O9 0.7342 0.8326 0.4402
O10 0.7402 0.0880 0.1904
O11 0.7395 0.3049 0.4404
O12 0.7417 0.5748 0.7093
O13 0.7549 0.5446 0.1730
O14 0.7592 0.3337 0.9396
O15 0.7620 0.7829 0.9345
O16 0.7631 0.0413 0.6976

[6]
Simulated powder diffraction line list
Compound: Fe3Pb4BrO8
Radiation: Cu Kα (λ = 1.5418 Å)
Structure: a DFT-relaxed cell (PBE+U, the Materials Project)
Kinematic intensities with the Lorentz-polarization factor, no thermal factor.

Most intense lines, 2θ = 10–80°, most intense first:
- 32.02 deg, 2.795 Å, rel. 100
- 31.75 deg, 2.818 Å, rel. 49
- 56.74 deg, 1.622 Å, rel. 40
- 22.31 deg, 3.985 Å, rel. 30
- 45.52 deg, 1.993 Å, rel. 26
- 39.38 deg, 2.288 Å, rel. 23
- 57.25 deg, 1.609 Å, rel. 20
- 22.68 deg, 3.921 Å, rel. 13

Cell and atoms:
Cell lengths 3.9851, 3.9851, 15.6832 Å; angles 90.00, 90.00, 90.00 degrees
Sites, in units of the cell vectors:
Fe1 0.0000 0.0000 0.0000
Fe2 0.0000 0.0000 0.2560
Fe3 0.0000 0.0000 0.7440
Pb1 0.5000 0.5000 0.1156
Pb2 0.5000 0.5000 0.3779
Pb3 0.5000 0.5000 0.6221
Pb4 0.5000 0.5000 0.8844
Br1 0.0000 0.0000 0.5000
O1 0.0000 0.0000 0.1353
O2 0.0000 0.0000 0.8647
O3 0.0000 0.5000 0.0000
O4 0.0000 0.5000 0.2888
O5 0.0000 0.5000 0.7112
O6 0.5000 0.0000 0.0000
O7 0.5000 0.0000 0.2888
O8 0.5000 0.0000 0.7112

[7]
Simulated powder diffraction line list
Compound: Mn3P3PbO12
Radiation: Cu Kα (λ = 1.5418 Å)
Structure: a DFT-relaxed cell (PBE+U, the Materials Project)
Kinematic intensities with the Lorentz-polarization factor, no thermal factor.

Most intense lines, 2θ = 10–80°, most intense first:
- 30.59 deg, 2.923 Å, rel. 100
- 20.11 deg, 4.415 Å, rel. 91
- 21.15 deg, 4.200 Å, rel. 67
- 28.54 deg, 3.127 Å, rel. 65
- 31.58 deg, 2.834 Å, rel. 53
- 22.42 deg, 3.965 Å, rel. 52
- 33.84 deg, 2.649 Å, rel. 40
- 34.29 deg, 2.615 Å, rel. 35

Cell and atoms:
Cell lengths 9.4013, 9.4013, 9.4013 Å; angles 112.39, 82.87, 138.00 degrees
Sites, in units of the cell vectors:
Mn1 0.0000 0.0000 0.0000
Mn2 0.3819 0.0000 0.8819
Mn3 0.3819 0.5000 0.3819
Mn4 0.5000 0.0000 0.5000
Mn5 0.6181 0.0000 0.1181
Mn6 0.6181 0.5000 0.6181
P1 0.1768 0.0000 0.6768
P2 0.1768 0.5000 0.1768
P3 0.3447 0.0947 0.2500
P4 0.6553 0.9053 0.7500
P5 0.8232 0.0000 0.3232
P6 0.8232 0.5000 0.8232
Pb1 0.1345 0.3845 0.7500
Pb2 0.8655 0.6155 0.2500
O1 0.0609 0.2205 0.4261
O2 0.0609 0.6348 0.8404
O3 0.1237 0.9633 0.1604
O4 0.1992 0.0599 0.8615
O5 0.1992 0.3377 0.1393
O6 0.2944 0.2205 0.6596
O7 0.2944 0.6348 0.0739
O8 0.3016 0.6623 0.3615
O9 0.3016 0.9401 0.6393
O10 0.3029 0.9633 0.3396
O11 0.4877 0.1194 0.1317
O12 0.4877 0.3560 0.3683
O13 0.5123 0.6440 0.6317
O14 0.5123 0.8806 0.8683
O15 0.6971 0.0367 0.6604
O16 0.6984 0.0599 0.3607
O17 0.6984 0.3377 0.6385
O18 0.7056 0.3652 0.9261
O19 0.7056 0.7795 0.3404
O20 0.8008 0.6623 0.8607
O21 0.8008 0.9401 0.1385
O22 0.8763 0.0367 0.8396
O23 0.9391 0.3652 0.1596
O24 0.9391 0.7795 0.5739